# 1
Structure and simulated XRD peak list of MnGe4H24C8S10N2 (a cell relaxed with GGA-PBE; copper Kα).
Lines closer than 0.1° are merged.

Top 10 peaks for 2θ from 10° to 90°, sorted by position:
2θ 10.95, intensity 100.0
2θ 17.73, intensity 48.0
2θ 21.37, intensity 19.8
2θ 21.99, intensity 27.2
2θ 27.52, intensity 55.2
2θ 31.64, intensity 15.1
2θ 38.28, intensity 18.6
2θ 45.82, intensity 12.6
2θ 47.63, intensity 17.6
2θ 51.11, intensity 10.8

Crystal structure
```
MnGe4H24C8S10N2
1.0
-4.848 4.848 7.319
4.848 -4.848 7.319
4.848 4.848 -7.319
Mn Ge H C S N
1 4 24 8 10 2
Direct
0.000 0.000 0.000
0.486 0.226 0.388
0.774 0.161 0.260
0.839 0.098 0.612
0.902 0.514 0.740
0.008 0.710 0.422
0.024 0.685 0.239
0.049 0.529 0.281
0.215 0.976 0.661
0.232 0.951 0.480
0.247 0.357 0.808
0.248 0.768 0.719
0.289 0.586 0.578
0.290 0.711 0.297
0.315 0.554 0.339
0.343 0.650 0.962
0.350 0.312 0.694
0.395 0.246 0.845
0.401 0.550 0.155
0.414 0.992 0.703
0.446 0.785 0.761
0.450 0.605 0.850
0.471 0.752 0.520
0.548 0.439 0.192
0.561 0.753 0.109
0.618 0.657 0.306
0.643 0.452 0.891
0.688 0.382 0.038
0.754 0.599 0.150
0.068 0.662 0.349
0.280 0.932 0.593
0.313 0.720 0.651
0.338 0.687 0.407
0.363 0.342 0.823
0.460 0.637 0.979
0.519 0.540 0.177
0.658 0.481 0.021
0.071 0.763 0.996
0.237 0.233 0.308
0.502 0.133 0.138
0.570 0.070 0.500
0.636 0.498 0.631
0.767 0.076 0.004
0.867 0.005 0.369
0.924 0.929 0.692
0.930 0.430 0.500
0.995 0.364 0.862
0.250 0.750 0.500
0.500 0.500 0.000
```

=====

# 2
Structure and simulated XRD peak list of Tb12Pm2Dy5 (a cell relaxed with GGA-PBE; copper Kα).
Lines closer than 0.1° are merged.

Top 10 peaks for 2θ from 10° to 90°, sorted by position:
2θ 30.73, intensity 100.0
2θ 35.63, intensity 50.6
2θ 51.26, intensity 30.1
2θ 51.32, intensity 6.0
2θ 60.97, intensity 42.8
2θ 63.95, intensity 6.2
2θ 64.05, intensity 6.2
2θ 75.45, intensity 5.7
2θ 83.66, intensity 11.8
2θ 86.36, intensity 12.5

Crystal structure
```
Tb12Pm2Dy5
1.0
6.174 0.000 0.000
-3.073 8.914 0.000
-2.066 -0.719 11.048
Tb Pm Dy
12 2 5
Direct
0.053 0.368 0.104
0.106 0.738 0.210
0.158 0.105 0.315
0.314 0.209 0.632
0.369 0.579 0.739
0.421 0.947 0.843
0.579 0.053 0.157
0.631 0.421 0.261
0.686 0.791 0.368
0.842 0.895 0.685
0.894 0.262 0.790
0.947 0.632 0.896
0.210 0.474 0.420
0.790 0.526 0.580
0.000 0.000 0.000
0.264 0.843 0.526
0.474 0.315 0.947
0.526 0.685 0.053
0.736 0.157 0.474
```

=====

# 3
Structure and simulated XRD peak list of Zn2NiPdS (a cell relaxed with GGA-PBE; copper Kα).
Lines closer than 0.1° are merged.

Top 10 peaks for 2θ from 10° to 90°, sorted by position:
2θ 18.55, intensity 31.1
2θ 19.37, intensity 50.4
2θ 26.94, intensity 78.2
2θ 32.91, intensity 42.3
2θ 37.61, intensity 100.0
2θ 39.32, intensity 44.0
2θ 46.87, intensity 34.7
2θ 54.23, intensity 33.1
2θ 55.54, intensity 61.3
2θ 69.02, intensity 30.8

Crystal structure
```
Zn2NiPdS
1.0
4.784 0.000 0.000
0.000 4.784 0.000
0.000 0.000 4.583
Zn Ni Pd S
2 1 1 1
Direct
0.000 0.500 0.000
0.500 0.000 0.000
0.000 0.000 0.500
0.500 0.500 0.000
0.500 0.500 0.500
```